(1)
YTlW2O8: theoretical powder diffractogram (a wavelength of 1.5418 Å), based on the GGA+U geometry in the Materials Project.
No peak broadening, texture or thermal motion is included.

Crystal structure
```
data_YTlW2O8
_chemical_formula_sum 'Y4 Tl4 W8 O32'
_space_group_name_H-M_alt 'C 1 2/c 1'
_space_group_IT_number 15
_space_group_name_Hall '-C 2yc'
_cell_length_a 10.960
_cell_length_b 10.672
_cell_length_c 7.491
_cell_angle_alpha 90.00
_cell_angle_beta 130.31
_cell_angle_gamma 90.00
loop_
_atom_site_label
_atom_site_type_symbol
_atom_site_fract_x
_atom_site_fract_y
_atom_site_fract_z
Y1 Y 0.000 0.224 0.250
Tl1 Tl 0.000 0.206 0.750
W1 W 0.195 0.495 0.218
O1 O 0.020 0.390 0.467
O2 O 0.131 0.086 0.190
O3 O 0.187 0.433 0.941
O4 O 0.218 0.156 0.624
```

Most intense lines, 15 to 90 degrees two-theta, in order of falling intensity:
2θ/deg, Rel. int., hkl
29.15, 100.0, 2 2 -2
27.10, 98.2, 2 2 0
31.32, 41.6, 0 0 2
27.25, 31.9, 1 3 0
55.61, 25.2, 2 2 -4
33.24, 25.0, 3 1 0
27.87, 23.9, 3 1 -2
32.89, 21.6, 4 0 -2
46.58, 20.5, 0 4 2
48.92, 19.6, 5 3 -2
33.59, 19.3, 0 4 0
54.13, 18.4, 3 5 0

---

(2)
Tm2V2O7: theoretical powder diffractogram (a wavelength of 1.5418 Å), based on the GGA+U geometry in the Materials Project.
No peak broadening, texture or thermal motion is included.

Crystal structure
abc: 10.029 10.029 10.029
angles: 90.00 90.00 90.00
Space group Fd-3m (No. 227, origin choice 2)
One atom of each set of equivalent atoms:
Tm 0.000 0.000 0.000 (multiplicity 16)
V 0.000 0.000 0.500 (multiplicity 16)
O 0.083 0.375 0.875 (multiplicity 48)
O 0.125 0.125 0.125 (multiplicity 8)

Most intense lines, 15 to 90 degrees two-theta, in order of falling intensity:
2θ/deg, Rel. int., hkl
30.88, 100.0, 2 2 2
51.55, 47.6, 4 4 0
61.31, 41.2, 6 2 2
15.30, 32.0, 1 1 1
35.81, 29.9, 4 0 0
39.15, 20.2, 3 3 1
29.54, 17.4, 3 1 1
84.15, 16.9, 6 6 2
86.87, 13.4, 8 4 0
47.08, 10.4, 5 1 1
54.10, 9.5, 5 3 1
64.35, 9.2, 4 4 4

---

(3)
UV2O8: theoretical powder diffractogram (a wavelength of 1.5418 Å), based on the GGA+U geometry in the Materials Project.
No peak broadening, texture or thermal motion is included.

Crystal structure
```
data_UV2O8
_chemical_formula_sum 'U4 V8 O32'
_space_group_name_H-M_alt 'P n m a'
_space_group_IT_number 62
_space_group_name_Hall '-P 2ac 2n'
_cell_length_a 5.849
_cell_length_b 12.158
_cell_length_c 10.729
_cell_angle_alpha 90.00
_cell_angle_beta 90.00
_cell_angle_gamma 90.00
loop_
_atom_site_label
_atom_site_type_symbol
_atom_site_fract_x
_atom_site_fract_y
_atom_site_fract_z
U1 U 0.071 0.250 0.100
V1 V 0.185 0.569 0.166
O1 O 0.045 0.109 0.733
O2 O 0.147 0.634 0.027
O3 O 0.155 0.750 0.778
O4 O 0.177 0.068 0.147
O5 O 0.205 0.750 0.486
```

Most intense lines, 15 to 90 degrees two-theta, in order of falling intensity:
2θ/deg, Rel. int., hkl
17.27, 100.0, 1 0 1
23.66, 77.0, 1 1 2
23.47, 65.7, 0 3 1
31.64, 62.9, 1 3 2
22.49, 54.6, 1 0 2
22.67, 49.8, 1 2 1
25.97, 37.0, 0 1 3
28.05, 27.0, 1 3 1
45.06, 23.7, 0 5 3
39.82, 22.7, 2 0 3
33.41, 20.1, 0 0 4
43.72, 18.5, 1 5 2

---

(4)
UV2O8: theoretical powder diffractogram (a wavelength of 1.5418 Å), based on the GGA+U geometry in the Materials Project.
No peak broadening, texture or thermal motion is included.

Crystal structure
```
data_UV2O8
_chemical_formula_sum 'U4 V8 O32'
_space_group_name_H-M_alt 'P n m a'
_space_group_IT_number 62
_space_group_name_Hall '-P 2ac 2n'
_cell_length_a 6.329
_cell_length_b 11.237
_cell_length_c 10.654
_cell_angle_alpha 90.00
_cell_angle_beta 90.00
_cell_angle_gamma 90.00
loop_
_atom_site_label
_atom_site_type_symbol
_atom_site_fract_x
_atom_site_fract_y
_atom_site_fract_z
U1 U 0.107 0.250 0.121
V1 V 0.180 0.600 0.185
O1 O 0.053 0.058 0.729
O2 O 0.145 0.639 0.037
O3 O 0.152 0.750 0.767
O4 O 0.163 0.086 0.120
O5 O 0.198 0.750 0.251
```

Most intense lines, 15 to 90 degrees two-theta, in order of falling intensity:
2θ/deg, Rel. int., hkl
21.81, 100.0, 1 0 2
16.29, 96.9, 1 0 1
23.22, 72.1, 1 1 2
25.20, 72.0, 0 3 1
15.77, 58.7, 0 2 0
22.75, 43.3, 1 2 1
32.47, 41.6, 1 3 2
26.32, 40.2, 0 1 3
29.44, 37.8, 2 0 1
45.22, 32.1, 2 1 4
33.60, 27.2, 0 0 4
28.94, 25.8, 1 3 1

---

(5)
UV3O10: theoretical powder diffractogram (a wavelength of 1.5418 Å), based on the GGA+U geometry in the Materials Project.
No peak broadening, texture or thermal motion is included.

Crystal structure
```
data_UV3O10
_chemical_formula_sum 'U8 V24 O80'
_space_group_name_H-M_alt 'F d d d'
_space_group_IT_number 70
_cell_length_a 7.019
_cell_length_b 12.231
_cell_length_c 16.370
_cell_angle_alpha 90.00
_cell_angle_beta 90.00
_cell_angle_gamma 90.00
loop_
_space_group_symop_operation_xyz
'x,y,z'
'-x,-y,-z'
'-x+1/4,-y+1/4,z'
'x+1/4,y+1/4,-z'
'x,-y+1/4,-z+1/4'
'-x,y+1/4,z+1/4'
'-x+1/4,y,-z+1/4'
'x+1/4,-y,z+1/4'
'x,y+1/2,z+1/2'
'-x,-y+1/2,-z+1/2'
'-x+1/4,-y+3/4,z+1/2'
'x+1/4,y+3/4,-z+1/2'
'x,-y+3/4,-z+3/4'
'-x,y+3/4,z+3/4'
'-x+1/4,y+1/2,-z+3/4'
'x+1/4,-y+1/2,z+3/4'
'x+1/2,y,z+1/2'
'-x+1/2,-y,-z+1/2'
'-x+3/4,-y+1/4,z+1/2'
'x+3/4,y+1/4,-z+1/2'
'x+1/2,-y+1/4,-z+3/4'
'-x+1/2,y+1/4,z+3/4'
'-x+3/4,y,-z+3/4'
'x+3/4,-y,z+3/4'
'x+1/2,y+1/2,z'
'-x+1/2,-y+1/2,-z'
'-x+3/4,-y+3/4,z'
'x+3/4,y+3/4,-z'
'x+1/2,-y+3/4,-z+1/4'
'-x+1/2,y+3/4,z+1/4'
'-x+3/4,y+1/2,-z+1/4'
'x+3/4,-y+1/2,z+1/4'
loop_
_atom_site_label
_atom_site_type_symbol
_atom_site_fract_x
_atom_site_fract_y
_atom_site_fract_z
U1 U 0.125 0.125 0.125
V1 V 0.125 0.125 0.401
V2 V 0.125 0.125 0.625
O1 O 0.074 0.271 0.872
O2 O 0.125 0.125 0.015
O3 O 0.125 0.125 0.504
O4 O 0.125 0.334 0.125
```

Most intense lines, 15 to 90 degrees two-theta, in order of falling intensity:
2θ/deg, Rel. int., hkl
21.72, 100.0, 0 0 4
29.34, 97.9, 2 2 0
21.87, 60.3, 1 1 3
18.11, 57.1, 0 2 2
15.53, 55.9, 1 1 1
29.21, 50.3, 0 4 0
51.89, 42.8, 2 6 0
36.80, 41.4, 2 2 4
53.97, 32.6, 0 4 8
40.66, 31.6, 2 4 2
70.54, 26.2, 2 6 8
56.87, 24.7, 2 6 4